Structure and simulated X-ray powder pattern of Pm4MoO10 (a PBE+U-relaxed structure; a wavelength of 1.5418 Å).
Intensities are scaled so that the largest is 100.

Most intense lines, 10 to 80 degrees two-theta, in order of falling intensity:
2θ (°), intensity
28.35, 100.0
47.05, 35.3
56.09, 28.9
32.98, 19.6
47.33, 17.7
55.61, 14.9

Crystal structure
Cell: 6.6660 6.6660 6.6660 Å, 99.77 99.77 131.34°
Atoms (fractional coordinates):
Pm (0.0983, 0.6967, 0.7951)
Pm (0.3033, 0.0983, 0.4016)
Pm (0.6967, 0.9017, 0.5984)
Pm (0.9017, 0.3033, 0.2049)
Mo (0.5000, 0.5000, 0.0000)
O (0.1013, 0.3716, 0.9161)
O (0.1852, 0.1013, 0.7297)
O (0.2500, 0.7500, 0.5000)
O (0.3716, 0.4555, 0.2703)
O (0.4555, 0.1852, 0.0839)
O (0.5445, 0.8148, 0.9161)
O (0.6284, 0.5445, 0.7297)
O (0.7500, 0.2500, 0.5000)
O (0.8148, 0.8987, 0.2703)
O (0.8987, 0.6284, 0.0839)